For Pa2Ga8Ni, the PBE geometry in Alexandria gives the theoretical PXRD pattern in this record (Cu Kα, 1.54184 Å).
No peak broadening, texture or thermal motion is included.

Atomic structure:
```
data_Pa2Ga8Ni
_symmetry_space_group_name_H-M 'P 4/m m m'
_symmetry_Int_Tables_number 123
_symmetry_space_group_name_Hall '-P 4 2'
_cell_length_a 4.2940
_cell_length_b 4.2940
_cell_length_c 11.1156
_cell_angle_alpha 90.00
_cell_angle_beta 90.00
_cell_angle_gamma 90.00
loop_
_atom_site_label
_atom_site_type_symbol
_atom_site_fract_x
_atom_site_fract_y
_atom_site_fract_z
Pa1 Pa 0.0000 0.0000 0.1926
Ga1 Ga 0.0000 0.5000 0.0000
Ga2 Ga 0.0000 0.5000 0.3815
Ga3 Ga 0.5000 0.5000 0.1923
Ni1 Ni 0.0000 0.0000 0.5000
```

Largest 8 diffraction maxima, in order of rising 2θ, 10° ≤ 2θ ≤ 80°:
20.7 deg, I = 38
31.9 deg, I = 21
33.6 deg, I = 51
38.3 deg, I = 100
40.6 deg, I = 21
42.1 deg, I = 55
59.9 deg, I = 26
74.4 deg, I = 28